Record 1
Diffraction record for Ac4SnRu2. The powder diffractogram is simulated, not measured: it uses a DFT-relaxed cell (PBE, Alexandria) and Cu Kα (weighted mean of Kα1 and Kα2).
No peak broadening, texture or thermal motion is included.

Crystal structure
a = 9.970 Å, b = 8.588 Å, c = 8.578 Å
α = 71.01°, β = 54.54°, γ = 54.44°
Positions (direct):
Ac 0.087 0.231 0.595
Ac 0.087 0.595 0.231
Ac 0.155 0.664 0.663
Ac 0.231 0.087 0.087
Ac 0.519 0.663 0.664
Ac 0.595 0.087 0.087
Ac 0.663 0.519 0.155
Ac 0.664 0.155 0.519
Sn 0.000 0.000 0.000
Sn 0.750 0.750 0.750
Ru 0.375 0.375 0.376
Ru 0.375 0.375 0.875
Ru 0.376 0.875 0.375
Ru 0.875 0.376 0.375

Principal peaks in the range 10 to 90 degrees two-theta, in order of rising 2θ:
- d 4.985, 17.79°, I = 30.9
- d 3.525, 25.27°, I = 80.0
- d 3.493, 25.50°, I = 67.2
- d 3.147, 28.36°, I = 66.9
- d 3.102, 28.78°, I = 100.0
- d 2.661, 33.68°, I = 98.8
- d 2.493, 36.03°, I = 36.5
- d 2.110, 42.86°, I = 50.1
- d 2.011, 45.09°, I = 34.1
- d 1.934, 47.00°, I = 34.6

Record 2
Diffraction record for CsNdF4. The powder diffractogram is simulated, not measured: it uses a DFT-relaxed cell (PBE, Alexandria) and Cu Kα (weighted mean of Kα1 and Kα2).
No peak broadening, texture or thermal motion is included.

Crystal structure
a = 4.060 Å, b = 4.060 Å, c = 7.058 Å
α = 90.00°, β = 90.00°, γ = 90.00°
Positions (direct):
Cs 0.000 0.000 0.000
Nd 0.500 0.500 0.500
F 0.000 0.500 0.314
F 0.000 0.500 0.686
F 0.500 0.000 0.314
F 0.500 0.000 0.686

Principal peaks in the range 10 to 90 degrees two-theta, in order of rising 2θ:
- d 3.520, 25.30°, I = 100.0
- d 2.871, 31.16°, I = 12.5
- d 2.227, 40.51°, I = 35.1
- d 2.036, 44.51°, I = 18.8
- d 2.030, 44.64°, I = 15.0
- d 1.759, 52.00°, I = 31.8
- d 1.437, 64.87°, I = 12.2
- d 1.333, 70.70°, I = 9.4
- d 1.206, 79.44°, I = 9.1
- d 1.114, 87.57°, I = 8.3

Record 3
Diffraction record for CePr4Hg3. The powder diffractogram is simulated, not measured: it uses a DFT-relaxed cell (PBE, Alexandria) and Cu Kα (weighted mean of Kα1 and Kα2).
No peak broadening, texture or thermal motion is included.

Crystal structure
a = 3.715 Å, b = 5.578 Å, c = 11.310 Å
α = 90.00°, β = 90.00°, γ = 90.00°
Positions (direct):
Ce 0.000 0.000 0.000
Pr 0.500 0.000 0.259
Pr 0.500 0.000 0.741
Pr 0.500 0.500 0.000
Pr 0.500 0.500 0.500
Hg 0.000 0.000 0.500
Hg 0.000 0.500 0.244
Hg 0.000 0.500 0.756

Principal peaks in the range 10 to 90 degrees two-theta, in order of rising 2θ:
- d 2.828, 31.64°, I = 27.5
- d 2.789, 32.09°, I = 27.0
- d 2.713, 33.02°, I = 100.0
- d 1.986, 45.69°, I = 20.1
- d 1.610, 57.24°, I = 20.2
- d 1.595, 57.80°, I = 20.4
- d 1.553, 59.55°, I = 9.3
- d 1.546, 59.82°, I = 9.2
- d 1.357, 69.26°, I = 11.7
- d 1.247, 76.37°, I = 8.7

Record 4
Diffraction record for Pm4NdSe6. The powder diffractogram is simulated, not measured: it uses a DFT-relaxed cell (PBE, Alexandria) and Cu Kα (weighted mean of Kα1 and Kα2).
No peak broadening, texture or thermal motion is included.

Crystal structure
a = 7.194 Å, b = 7.194 Å, c = 21.266 Å
α = 90.00°, β = 90.00°, γ = 146.78°
Positions (direct):
Pm 0.089 0.911 0.628
Pm 0.089 0.911 0.872
Pm 0.359 0.641 0.539
Pm 0.359 0.641 0.961
Pm 0.641 0.359 0.039
Pm 0.641 0.359 0.461
Pm 0.911 0.089 0.128
Pm 0.911 0.089 0.372
Nd 0.155 0.845 0.250
Nd 0.845 0.155 0.750
Se 0.000 0.000 0.000
Se 0.000 0.000 0.500
Se 0.189 0.811 0.750
Se 0.269 0.731 0.092
Se 0.269 0.731 0.408
Se 0.447 0.553 0.667
Se 0.447 0.553 0.833
Se 0.553 0.447 0.167
Se 0.553 0.447 0.333
Se 0.731 0.269 0.592
Se 0.731 0.269 0.908
Se 0.811 0.189 0.250

Principal peaks in the range 10 to 90 degrees two-theta, in order of rising 2θ:
- d 3.620, 24.59°, I = 50.9
- d 3.152, 28.31°, I = 38.2
- d 3.034, 29.44°, I = 43.9
- d 2.945, 30.35°, I = 100.0
- d 2.813, 31.81°, I = 63.3
- d 2.780, 32.20°, I = 29.1
- d 2.204, 40.95°, I = 43.9
- d 2.109, 42.88°, I = 32.5
- d 2.104, 43.00°, I = 33.8
- d 2.057, 44.03°, I = 37.7

Record 5
Diffraction record for PrGa9Fe2. The powder diffractogram is simulated, not measured: it uses a DFT-relaxed cell (PBE, Alexandria) and Cu Kα (weighted mean of Kα1 and Kα2).
No peak broadening, texture or thermal motion is included.

Crystal structure
a = 7.971 Å, b = 7.971 Å, c = 3.782 Å
α = 90.00°, β = 90.00°, γ = 120.00°
Positions (direct):
Pr 0.000 0.000 0.000
Ga 0.000 0.500 0.000
Ga 0.206 0.412 0.500
Ga 0.206 0.794 0.500
Ga 0.412 0.206 0.500
Ga 0.500 0.000 0.000
Ga 0.500 0.500 0.000
Ga 0.588 0.794 0.500
Ga 0.794 0.206 0.500
Ga 0.794 0.588 0.500
Fe 0.333 0.667 0.000
Fe 0.667 0.333 0.000

Principal peaks in the range 10 to 90 degrees two-theta, in order of rising 2θ:
- d 2.743, 32.64°, I = 34.2
- d 2.609, 34.37°, I = 30.1
- d 2.549, 35.20°, I = 100.0
- d 2.148, 42.07°, I = 29.3
- d 1.993, 45.52°, I = 43.2
- d 1.966, 46.18°, I = 29.2
- d 1.891, 48.12°, I = 24.1
- d 1.763, 51.86°, I = 12.6
- d 1.372, 68.39°, I = 24.4
- d 1.233, 77.38°, I = 12.0

Record 6
Diffraction record for LiEuGd. The powder diffractogram is simulated, not measured: it uses a DFT-relaxed cell (PBE, Alexandria) and Cu Kα (weighted mean of Kα1 and Kα2).
No peak broadening, texture or thermal motion is included.

Crystal structure
a = 3.598 Å, b = 3.598 Å, c = 8.602 Å
α = 90.00°, β = 90.00°, γ = 120.00°
Positions (direct):
Li 0.000 0.000 0.000
Eu 0.333 0.667 0.666
Gd 0.667 0.333 0.310

Principal peaks in the range 10 to 90 degrees two-theta, in order of rising 2θ:
- d 8.602, 10.28°, I = 53.1
- d 4.301, 20.65°, I = 23.8
- d 3.116, 28.65°, I = 20.7
- d 2.930, 30.51°, I = 100.0
- d 2.867, 31.19°, I = 23.4
- d 2.523, 35.58°, I = 57.1
- d 2.110, 42.86°, I = 15.4
- d 1.799, 50.75°, I = 18.9
- d 1.770, 51.64°, I = 25.2
- d 1.524, 60.78°, I = 20.9

Question: Which formula does entry 6 have?
Answer: LiEuGd